Entry 1:
Simulated powder X-ray diffraction pattern
Compound: Nb3Fe
Radiation: Cu Kα (weighted mean of Kα1 and Kα2)
Structure: the PBE geometry in the Materials Project
Neutral-atom scattering factors, no anomalous dispersion.

Atomic structure:
```
4
Lattice="-1.897 1.897 4.618 1.897 -1.897 4.618 1.897 1.897 -4.618" Properties=species:S:1:pos:R:3 pbc="T T T"
Nb 0.000 0.000 0.000
Nb 1.897 0.000 2.309
Nb 0.000 1.897 2.309
Fe 0.000 0.000 4.618
```

Largest 10 diffraction maxima, most intense first, 2θ = 10–90°:
- 2θ = 38.8°, I 1000
- 2θ = 48.0°, I 268
- 2θ = 39.0°, I 247
- 2θ = 63.5°, I 224
- 2θ = 83.2°, I 204
- 2θ = 70.5°, I 161
- 2θ = 83.3°, I 101
- 2θ = 70.2°, I 82
- 2θ = 25.4°, I 34
- 2θ = 83.8°, I 25

Entry 2:
Simulated powder X-ray diffraction pattern
Compound: Nb3Fe
Radiation: Cu Kα (weighted mean of Kα1 and Kα2)
Structure: the PBE geometry in the Materials Project
Neutral-atom scattering factors, no anomalous dispersion.

Atomic structure:
```
4
Lattice="4.043 0.000 0.000 0.000 4.043 0.000 0.000 0.000 4.043" Properties=species:S:1:pos:R:3 pbc="T T T"
Nb 0.000 0.000 2.022
Nb 0.000 2.022 0.000
Nb 2.022 0.000 0.000
Fe 2.022 2.022 2.022
```

Largest 10 diffraction maxima, most intense first, 2θ = 10–90°:
- 2θ = 38.6°, I 1000
- 2θ = 44.8°, I 483
- 2θ = 78.5°, I 349
- 2θ = 65.3°, I 301
- 2θ = 82.7°, I 101
- 2θ = 22.0°, I 36
- 2θ = 31.3°, I 29
- 2θ = 50.5°, I 16
- 2θ = 55.7°, I 12
- 2θ = 69.8°, I 8

Entry 3:
Simulated powder X-ray diffraction pattern
Compound: NbFe2
Radiation: Cu Kα (weighted mean of Kα1 and Kα2)
Structure: the PBE geometry in the Materials Project
Neutral-atom scattering factors, no anomalous dispersion.

Atomic structure:
```
12
Lattice="4.760 0.000 0.000 -2.380 4.123 0.000 0.000 0.000 7.895" Properties=species:S:1:pos:R:3 pbc="T T T"
Nb 0.000 2.748 0.523
Nb 0.000 2.748 3.425
Nb 2.380 1.374 4.470
Nb 2.380 1.374 7.372
Fe 0.000 0.000 0.000
Fe 0.000 0.000 3.948
Fe 0.000 1.403 5.921
Fe -1.165 3.421 5.921
Fe 1.215 0.701 1.974
Fe 1.165 3.421 5.921
Fe 3.546 0.701 1.974
Fe 2.380 2.720 1.974
```

Largest 10 diffraction maxima, most intense first, 2θ = 10–90°:
- 2θ = 44.4°, I 1000
- 2θ = 40.7°, I 953
- 2θ = 45.5°, I 739
- 2θ = 37.8°, I 486
- 2θ = 70.2°, I 329
- 2θ = 75.9°, I 309
- 2θ = 80.7°, I 233
- 2θ = 72.9°, I 212
- 2θ = 88.1°, I 149
- 2θ = 43.9°, I 134

Entry 4:
Simulated powder X-ray diffraction pattern
Compound: Nb8Fe2Sb4Pd
Radiation: Cu Kα (weighted mean of Kα1 and Kα2)
Structure: the PBE geometry in the Materials Project
Neutral-atom scattering factors, no anomalous dispersion.

Atomic structure:
```
15
Lattice="-5.288 5.288 2.478 5.288 -5.288 2.478 5.288 5.288 -2.478" Properties=species:S:1:pos:R:3 pbc="T T T"
Nb 4.440 -2.133 1.275
Nb 7.421 -0.848 1.203
Nb 3.155 0.848 1.203
Nb 6.136 2.133 1.275
Nb 0.848 3.155 1.203
Nb -2.133 4.440 1.275
Nb 2.133 6.136 1.275
Nb -0.848 7.421 1.203
Fe 5.288 0.000 0.000
Fe 0.000 5.288 0.000
Sb 1.594 -1.594 1.375
Sb -1.594 1.594 1.375
Sb 3.694 3.694 1.104
Sb 1.594 1.594 3.582
Pd 0.000 0.000 0.000
```

Largest 10 diffraction maxima, most intense first, 2θ = 10–90°:
- 2θ = 39.6°, I 1000
- 2θ = 35.6°, I 743
- 2θ = 38.1°, I 306
- 2θ = 36.2°, I 278
- 2θ = 67.4°, I 262
- 2θ = 26.0°, I 207
- 2θ = 40.2°, I 196
- 2θ = 43.8°, I 182
- 2θ = 74.0°, I 166
- 2θ = 50.5°, I 166

Entry 5:
Simulated powder X-ray diffraction pattern
Compound: Nb2FeS4
Radiation: Cu Kα (weighted mean of Kα1 and Kα2)
Structure: the PBE geometry in the Materials Project
Neutral-atom scattering factors, no anomalous dispersion.

Atomic structure:
```
28
Lattice="8.753 0.000 0.000 0.000 3.341 0.000 0.000 0.000 18.705" Properties=species:S:1:pos:R:3 pbc="T T T"
Nb 0.117 0.835 1.868
Nb 1.032 2.506 8.816
Nb 3.345 0.835 18.168
Nb 4.260 2.506 11.221
Nb 4.493 0.835 7.485
Nb 5.409 2.506 0.537
Nb 7.721 0.835 9.890
Nb 8.637 2.506 16.837
Fe 2.074 2.506 2.759
Fe 2.303 0.835 12.111
Fe 6.450 2.506 6.594
Fe 6.680 0.835 15.947
S 0.292 2.506 11.186
S 1.128 0.835 3.996
S 1.483 2.506 0.514
S 1.607 0.835 16.212
S 2.770 2.506 6.859
S 2.894 0.835 9.867
S 3.248 2.506 13.349
S 4.084 0.835 1.833
S 4.669 2.506 16.872
S 5.505 0.835 5.356
S 5.859 2.506 8.838
S 5.983 0.835 11.846
S 7.147 2.506 2.493
S 7.271 0.835 18.191
S 7.625 2.506 14.709
S 8.461 0.835 7.520
```

Largest 10 diffraction maxima, most intense first, 2θ = 10–90°:
- 2θ = 17.5°, I 1000
- 2θ = 36.8°, I 782
- 2θ = 35.1°, I 774
- 2θ = 34.1°, I 721
- 2θ = 43.4°, I 561
- 2θ = 51.8°, I 518
- 2θ = 41.4°, I 464
- 2θ = 45.8°, I 456
- 2θ = 35.3°, I 436
- 2θ = 31.5°, I 357

Entry 6:
Simulated powder X-ray diffraction pattern
Compound: Nb2FeS4
Radiation: Cu Kα (weighted mean of Kα1 and Kα2)
Structure: the PBE geometry in the Materials Project
Neutral-atom scattering factors, no anomalous dispersion.

Atomic structure:
```
7
Lattice="3.345 0.000 0.000 -1.673 2.897 0.000 0.000 0.000 11.829" Properties=species:S:1:pos:R:3 pbc="T T T"
Nb 0.000 0.000 2.880
Nb 0.000 0.000 8.949
Fe 0.000 0.000 0.000
S 0.000 1.931 1.236
S 0.000 1.931 4.449
S 1.673 0.966 7.380
S 1.673 0.966 10.593
```

Largest 10 diffraction maxima, most intense first, 2θ = 10–90°:
- 2θ = 43.7°, I 1000
- 2θ = 30.9°, I 475
- 2θ = 34.5°, I 410
- 2θ = 54.9°, I 369
- 2θ = 15.0°, I 343
- 2θ = 31.8°, I 259
- 2θ = 72.7°, I 206
- 2θ = 88.2°, I 151
- 2θ = 38.6°, I 140
- 2θ = 49.8°, I 94

Entry 7:
Simulated powder X-ray diffraction pattern
Compound: Nb2FeS4
Radiation: Cu Kα (weighted mean of Kα1 and Kα2)
Structure: the PBE geometry in the Materials Project
Neutral-atom scattering factors, no anomalous dispersion.

Atomic structure:
```
28
Lattice="11.013 0.000 0.000 0.000 3.316 0.000 0.000 0.000 13.063" Properties=species:S:1:pos:R:3 pbc="T T T"
Nb 0.487 0.829 1.103
Nb 1.258 0.829 7.833
Nb 4.248 2.487 1.302
Nb 5.019 2.487 7.635
Nb 5.994 0.829 5.429
Nb 6.765 0.829 11.762
Nb 9.755 2.487 5.230
Nb 10.526 2.487 11.960
Fe 2.484 0.829 10.902
Fe 3.023 2.487 4.370
Fe 7.990 0.829 8.693
Fe 8.530 2.487 2.161
S 0.262 0.829 10.258
S 0.636 0.829 5.387
S 1.959 2.487 12.892
S 2.676 0.829 2.554
S 2.831 2.487 9.086
S 3.548 0.829 6.360
S 4.871 2.487 11.918
S 5.245 2.487 3.726
S 5.768 0.829 9.337
S 6.142 0.829 1.145
S 7.466 2.487 6.703
S 8.183 0.829 3.977
S 8.337 2.487 10.509
S 9.054 0.829 0.171
S 10.378 2.487 7.677
S 10.752 2.487 2.805
```

Largest 10 diffraction maxima, most intense first, 2θ = 10–90°:
- 2θ = 31.5°, I 1000
- 2θ = 42.2°, I 913
- 2θ = 27.9°, I 801
- 2θ = 31.3°, I 713
- 2θ = 37.8°, I 698
- 2θ = 39.6°, I 627
- 2θ = 44.8°, I 551
- 2θ = 35.0°, I 498
- 2θ = 55.4°, I 454
- 2θ = 45.0°, I 427

Entry 8:
Simulated powder X-ray diffraction pattern
Compound: Nb3FeSe8S2
Radiation: Cu Kα (weighted mean of Kα1 and Kα2)
Structure: the PBE geometry in the Materials Project
Neutral-atom scattering factors, no anomalous dispersion.

Atomic structure:
```
14
Lattice="9.420 0.000 0.000 0.000 3.501 0.000 -3.992 0.000 9.291" Properties=species:S:1:pos:R:3 pbc="T T T"
Nb 0.000 0.000 0.000
Nb -1.130 1.750 6.609
Nb 5.197 0.000 4.073
Fe 7.898 1.750 1.651
Se -1.947 1.750 9.239
Se 0.466 0.000 5.378
Se 0.579 0.000 7.736
Se 3.474 1.750 2.958
Se 3.613 1.750 5.313
Se 6.161 0.000 1.530
Se 7.179 1.750 4.012
Se 6.295 0.000 6.600
S -0.144 0.000 2.296
S 3.855 1.750 8.674
```

Largest 10 diffraction maxima, most intense first, 2θ = 10–90°:
- 2θ = 31.9°, I 1000
- 2θ = 16.5°, I 515
- 2θ = 35.9°, I 323
- 2θ = 40.5°, I 300
- 2θ = 43.3°, I 296
- 2θ = 10.2°, I 290
- 2θ = 44.5°, I 283
- 2θ = 10.9°, I 212
- 2θ = 52.3°, I 201
- 2θ = 42.2°, I 166

Entry 9:
Simulated powder X-ray diffraction pattern
Compound: NbFeSb
Radiation: Cu Kα (weighted mean of Kα1 and Kα2)
Structure: the PBE geometry in the Materials Project
Neutral-atom scattering factors, no anomalous dispersion.

Atomic structure:
```
3
Lattice="0.000 2.984 2.984 2.984 0.000 2.984 2.984 2.984 0.000" Properties=species:S:1:pos:R:3 pbc="T T T"
Nb 0.000 0.000 0.000
Fe 4.477 4.477 4.477
Sb 2.984 2.984 2.984
```

Largest 10 diffraction maxima, most intense first, 2θ = 10–90°:
- 2θ = 42.9°, I 1000
- 2θ = 29.9°, I 440
- 2θ = 78.5°, I 318
- 2θ = 62.2°, I 159
- 2θ = 70.6°, I 151
- 2θ = 25.9°, I 145
- 2θ = 53.2°, I 117
- 2θ = 50.7°, I 64
- 2θ = 68.5°, I 24
- 2θ = 84.3°, I 18

Entry 10:
Simulated powder X-ray diffraction pattern
Compound: Nb3FeSe10
Radiation: Cu Kα (weighted mean of Kα1 and Kα2)
Structure: the PBE geometry in the Materials Project
Neutral-atom scattering factors, no anomalous dispersion.

Atomic structure:
```
14
Lattice="9.407 0.000 0.000 0.000 3.532 0.000 -4.017 0.000 9.388" Properties=species:S:1:pos:R:3 pbc="T T T"
Nb 0.000 0.000 0.000
Nb -1.195 1.766 6.713
Nb 3.091 1.766 2.553
Fe 0.402 0.000 4.996
Se -1.105 1.766 4.283
Se 1.985 1.766 0.017
Se 1.116 0.000 2.621
Se 0.527 0.000 7.398
Se 2.112 1.766 5.099
Se 4.680 0.000 1.324
Se 4.792 0.000 3.684
Se 3.713 1.766 8.232
Se 7.801 1.766 1.210
Se 6.196 0.000 6.753
```

Largest 10 diffraction maxima, most intense first, 2θ = 10–90°:
- 2θ = 31.7°, I 1000
- 2θ = 10.2°, I 356
- 2θ = 42.9°, I 355
- 2θ = 16.4°, I 327
- 2θ = 35.5°, I 324
- 2θ = 40.4°, I 264
- 2θ = 51.8°, I 239
- 2θ = 44.0°, I 189
- 2θ = 41.9°, I 120
- 2θ = 64.3°, I 112

Entry 11:
Simulated powder X-ray diffraction pattern
Compound: Nb4FeSe8
Radiation: Cu Kα (weighted mean of Kα1 and Kα2)
Structure: the PBE geometry in the Materials Project
Neutral-atom scattering factors, no anomalous dispersion.

Atomic structure:
```
26
Lattice="6.995 0.000 0.000 -3.498 6.058 0.000 0.000 0.000 12.953" Properties=species:S:1:pos:R:3 pbc="T T T"
Nb 0.000 0.000 3.238
Nb 0.000 0.000 9.715
Nb -1.693 3.061 3.238
Nb 1.693 3.061 3.238
Nb 0.000 5.993 3.238
Nb 3.498 0.065 9.715
Nb 1.805 2.997 9.715
Nb 5.190 2.997 9.715
Fe 0.000 0.000 0.000
Fe 0.000 0.000 6.477
Se 0.000 2.036 8.040
Se 0.000 2.036 11.390
Se -1.735 5.040 8.040
Se -1.735 5.040 11.390
Se 0.000 4.039 1.532
Se 0.000 4.039 4.945
Se 1.763 1.018 1.563
Se 1.763 1.018 4.914
Se 1.735 5.040 8.040
Se 1.735 5.040 11.390
Se 3.498 2.019 8.009
Se 3.498 2.019 11.422
Se 5.232 1.018 1.563
Se 5.232 1.018 4.914
Se 3.498 4.022 1.563
Se 3.498 4.022 4.914
```

Largest 10 diffraction maxima, most intense first, 2θ = 10–90°:
- 2θ = 40.8°, I 1000
- 2θ = 30.3°, I 570
- 2θ = 52.3°, I 481
- 2θ = 36.2°, I 442
- 2θ = 32.6°, I 382
- 2θ = 13.7°, I 368
- 2θ = 80.9°, I 255
- 2θ = 68.4°, I 206
- 2θ = 46.1°, I 129
- 2θ = 58.4°, I 129

Entry 12:
Simulated powder X-ray diffraction pattern
Compound: Nb2VFeSe10
Radiation: Cu Kα (weighted mean of Kα1 and Kα2)
Structure: the PBE geometry in the Materials Project
Neutral-atom scattering factors, no anomalous dispersion.

Atomic structure:
```
14
Lattice="9.363 0.000 0.000 0.000 3.495 0.000 -3.943 0.000 9.304" Properties=species:S:1:pos:R:3 pbc="T T T"
Nb 0.000 0.000 0.000
Nb 3.119 1.747 2.537
V -1.186 1.747 6.705
Fe 0.455 0.000 4.996
Se -1.088 1.747 4.382
Se -1.943 1.747 9.289
Se 1.129 0.000 2.617
Se 0.439 0.000 7.348
Se 2.155 1.747 5.089
Se 4.704 0.000 1.297
Se 4.827 0.000 3.669
Se 3.724 1.747 8.164
Se 7.775 1.747 1.236
Se 6.272 0.000 6.717
```

Largest 10 diffraction maxima, most intense first, 2θ = 10–90°:
- 2θ = 32.0°, I 1000
- 2θ = 35.8°, I 339
- 2θ = 16.5°, I 298
- 2θ = 40.6°, I 298
- 2θ = 43.2°, I 277
- 2θ = 10.3°, I 264
- 2θ = 52.4°, I 195
- 2θ = 44.5°, I 171
- 2θ = 38.8°, I 127
- 2θ = 65.1°, I 123

Repeat the ninth record exactly.
Simulated powder X-ray diffraction pattern
Compound: NbFeSb
Radiation: Cu Kα (weighted mean of Kα1 and Kα2)
Structure: the PBE geometry in the Materials Project
Neutral-atom scattering factors, no anomalous dispersion.

Atomic structure:
```
3
Lattice="0.000 2.984 2.984 2.984 0.000 2.984 2.984 2.984 0.000" Properties=species:S:1:pos:R:3 pbc="T T T"
Nb 0.000 0.000 0.000
Fe 4.477 4.477 4.477
Sb 2.984 2.984 2.984
```

Largest 10 diffraction maxima, most intense first, 2θ = 10–90°:
- 2θ = 42.9°, I 1000
- 2θ = 29.9°, I 440
- 2θ = 78.5°, I 318
- 2θ = 62.2°, I 159
- 2θ = 70.6°, I 151
- 2θ = 25.9°, I 145
- 2θ = 53.2°, I 117
- 2θ = 50.7°, I 64
- 2θ = 68.5°, I 24
- 2θ = 84.3°, I 18